For Li2Mg2Pb5, a structure optimized by DFT (GGA-PBE) gives the theoretical powder diffractogram in this record (Cu Kα, 1.54184 Å).
No peak broadening, texture or thermal motion is included.

Structural model:
```
18
Lattice="-7.7157 4.2326 3.6416 7.7157 -4.2326 3.6416 7.7157 4.2326 -3.6416" Properties=species:S:1:pos:R:3 pbc="T T T"
Li 0.0000 0.0000 0.0000
Li 7.7157 0.0000 0.0000
Li 3.8579 3.9631 1.0610
Li 3.8579 0.2695 4.7027
Mg 2.1805 -0.2152 2.1494
Mg 5.5352 -0.2152 2.1494
Mg 5.5352 4.4478 -1.4922
Mg 9.8963 0.2152 2.1494
Pb 11.5736 1.5543 -0.2626
Pb 2.2051 1.7287 -0.2758
Pb 5.5107 1.7287 -0.2758
Pb -0.8440 2.8256 1.0793
Pb 8.5597 2.8256 1.0793
Pb 2.2051 2.5038 3.3658
Pb 5.5107 2.5038 3.3658
Pb -3.8579 2.6783 3.3790
Pb 0.8440 5.6395 1.0793
Pb -0.8440 1.4070 4.7209
```

Largest 10 diffraction maxima, in order of rising 2θ, 2θ from 5° to 70°:
- d 4.490, rel. 33
- d 4.233, rel. 59
- d 3.293, rel. 51
- d 2.982, rel. 56
- d 2.900, rel. 100
- d 2.804, rel. 82
- d 2.631, rel. 28
- d 2.490, rel. 39
- d 1.890, rel. 30
- d 1.840, rel. 36


For Li4MgPb, a structure optimized by DFT (GGA-PBE) gives the theoretical powder diffractogram in this record (Cu Kα, 1.54184 Å).
No peak broadening, texture or thermal motion is included.

Structural model:
```
12
Lattice="5.8920 0.0000 0.0000 0.0000 4.8000 0.0000 -2.9412 0.0000 8.1545" Properties=species:S:1:pos:R:3 pbc="T T T"
Li -0.0077 1.2000 0.6839
Li -0.1411 1.2000 3.3757
Li -0.0859 3.6000 4.7907
Li -0.0361 3.6000 7.4809
Li 2.9869 1.2000 0.6735
Li 3.0366 1.2000 3.3638
Li 3.0919 3.6000 4.7787
Li 2.9584 3.6000 7.4706
Mg 1.4705 3.6000 2.2476
Mg 1.4802 1.2000 5.9069
Pb -1.4689 1.2000 6.2219
Pb 4.4197 3.6000 1.9326
```

Largest 10 diffraction maxima, in order of rising 2θ, 2θ from 5° to 70°:
- d 5.541, rel. 57
- d 4.137, rel. 100
- d 4.077, rel. 47
- d 3.995, rel. 41
- d 3.628, rel. 53
- d 3.071, rel. 21
- d 2.453, rel. 29
- d 2.400, rel. 76
- d 2.388, rel. 29
- d 2.365, rel. 29


For SrLiMgPb2, a structure optimized by DFT (GGA-PBE) gives the theoretical powder diffractogram in this record (Cu Kα, 1.54184 Å).
No peak broadening, texture or thermal motion is included.

Structural model:
```
5
Lattice="-2.3720 2.3720 6.4350 2.3720 -2.3720 6.4350 2.3720 2.3720 -6.4350" Properties=species:S:1:pos:R:3 pbc="T T T"
Sr 0.0000 0.0000 0.0000
Li 2.3720 0.0000 3.2175
Mg 0.0000 2.3720 3.2175
Pb 0.0000 0.0000 4.9256
Pb 0.0000 0.0000 7.9443
```

Largest 10 diffraction maxima, in order of rising 2θ, 2θ from 5° to 70°:
- d 4.451, rel. 82
- d 3.354, rel. 100
- d 3.182, rel. 90
- d 2.372, rel. 51
- d 2.322, rel. 41
- d 2.262, rel. 62
- d 2.093, rel. 24
- d 1.902, rel. 43
- d 1.637, rel. 46
- d 1.500, rel. 20


Repeat the third record exactly.
For SrLiMgPb2, a structure optimized by DFT (GGA-PBE) gives the theoretical powder diffractogram in this record (Cu Kα, 1.54184 Å).
No peak broadening, texture or thermal motion is included.

Structural model:
```
5
Lattice="-2.3720 2.3720 6.4350 2.3720 -2.3720 6.4350 2.3720 2.3720 -6.4350" Properties=species:S:1:pos:R:3 pbc="T T T"
Sr 0.0000 0.0000 0.0000
Li 2.3720 0.0000 3.2175
Mg 0.0000 2.3720 3.2175
Pb 0.0000 0.0000 4.9256
Pb 0.0000 0.0000 7.9443
```

Largest 10 diffraction maxima, in order of rising 2θ, 2θ from 5° to 70°:
- d 4.451, rel. 82
- d 3.354, rel. 100
- d 3.182, rel. 90
- d 2.372, rel. 51
- d 2.322, rel. 41
- d 2.262, rel. 62
- d 2.093, rel. 24
- d 1.902, rel. 43
- d 1.637, rel. 46
- d 1.500, rel. 20